Structure and computed powder diffraction line list of Sm3AsI3 (the GGA-PBE geometry in Alexandria; copper Kα).

Top 10 peaks for 2θ from 10° to 90°, low angle first:
| hkl | 2theta | intensity |
| --- | --- | --- |
| 0 0 6 | 15.50 | 10 |
| 1 1 0 | 24.34 | 19 |
| 2 -1 6 | 28.99 | 100 |
| 2 -1 9 | 33.98 | 14 |
| 1 1 12 | 40.04 | 27 |
| 3 0 0 | 42.84 | 31 |
| 1 1 15 | 46.86 | 8 |
| 2 2 6 | 52.55 | 19 |
| 4 -2 12 | 60.07 | 8 |
| 5 -1 6 | 70.04 | 16 |

Structure:
```
data_Sm3AsI3
_cell_length_a 7.3132
_cell_length_b 7.3132
_cell_length_c 34.3031
_cell_angle_alpha 90.00
_cell_angle_beta 90.00
_cell_angle_gamma 120.00
_symmetry_space_group_name_H-M 'R -3'
_symmetry_Int_Tables_number 148
_symmetry_space_group_name_Hall '-R 3'
loop_
_atom_site_label
_atom_site_fract_x
_atom_site_fract_y
_atom_site_fract_z
Sm1 0.0000 0.3373 0.0457
As1 0.0000 0.0000 0.3333
I1 0.9997 0.3334 0.2276
```